# 1
For Tb2Ho6Th3, a structure optimized by DFT (GGA-PBE) gives the calculated powder XRD pattern in this record (λ = 1.5418 Å (Cu Kα)).
Intensities are scaled so that the largest is 100.

Structural model:
```
data_Tb2Ho6Th3
_symmetry_space_group_name_H-M 'C 1 2/m 1'
_symmetry_Int_Tables_number 12
_cell_length_a 6.155
_cell_length_b 10.668
_cell_length_c 11.215
_cell_angle_alpha 90.00
_cell_angle_beta 90.08
_cell_angle_gamma 90.00
loop_
_symmetry_equiv_pos_as_xyz
'x,y,z'
'-x,-y,-z'
'-x,y,-z'
'x,-y,z'
'x+1/2,y+1/2,z'
'-x+1/2,-y+1/2,-z'
'-x+1/2,y+1/2,-z'
'x+1/2,-y+1/2,z'
loop_
_atom_site_label
_atom_site_fract_x
_atom_site_fract_y
_atom_site_fract_z
_atom_site_occupancy
Tb1 0.000 0.166 0.000 1
Ho1 0.165 0.335 0.252 1
Ho2 0.168 0.000 0.253 1
Th1 0.000 0.167 0.500 1
Th2 0.000 0.500 0.500 1
```

The 12 most intense peaks (15° ≤ 2θ ≤ 90°), by angle:
- 29.0 deg, 3.078 Å, I = 8.0, hkl 2 0 0
- 30.1 deg, 2.969 Å, I = 49.7, hkl 2 0 1
- 31.9 deg, 2.804 Å, I = 32.7, hkl 0 0 4
- 33.2 deg, 2.698 Å, I = 100.0, hkl 1 3 -2
- 37.9 deg, 2.376 Å, I = 27.7, hkl 2 0 -3
- 50.3 deg, 1.813 Å, I = 11.8, hkl 2 0 5
- 51.4 deg, 1.777 Å, I = 26.2, hkl 3 3 0
- 57.7 deg, 1.598 Å, I = 21.0, hkl 1 3 -6
- 61.8 deg, 1.501 Å, I = 30.4, hkl 3 3 4
- 62.6 deg, 1.484 Å, I = 16.5, hkl 4 0 -2
- 85.2 deg, 1.139 Å, I = 14.4, hkl 4 6 -2
- 88.9 deg, 1.101 Å, I = 7.7, hkl 0 6 8

---

# 2
For Ca2CdAs4Rh3, a structure optimized by DFT (GGA-PBE) gives the calculated powder XRD pattern in this record (λ = 1.5418 Å (Cu Kα)).
Intensities are scaled so that the largest is 100.

Structural model:
```
data_Ca2CdAs4Rh3
_symmetry_space_group_name_H-M 'P -4 m 2'
_symmetry_Int_Tables_number 115
_cell_length_a 4.303
_cell_length_b 4.303
_cell_length_c 10.542
_cell_angle_alpha 90.00
_cell_angle_beta 90.00
_cell_angle_gamma 90.00
loop_
_symmetry_equiv_pos_as_xyz
'x,y,z'
'y,-x,-z'
'-x,-y,z'
'-y,x,-z'
'-x,y,z'
'-y,-x,-z'
'x,-y,z'
'y,x,-z'
loop_
_atom_site_label
_atom_site_fract_x
_atom_site_fract_y
_atom_site_fract_z
_atom_site_occupancy
Ca1 0.000 0.500 0.240 1
Cd1 0.000 0.000 0.500 1
As1 0.000 0.000 0.000 1
As2 0.000 0.500 0.653 1
As3 0.500 0.500 0.000 1
Rh1 0.000 0.500 0.883 1
Rh2 0.500 0.500 0.500 1
```

The 12 most intense peaks (15° ≤ 2θ ≤ 90°), by angle:
- 16.8 deg, 5.271 Å, I = 38.5, hkl 0 0 2
- 22.3 deg, 3.984 Å, I = 40.3, hkl 1 0 1
- 32.9 deg, 2.722 Å, I = 38.5, hkl 1 0 3
- 34.0 deg, 2.635 Å, I = 100.0, hkl 1 1 2
- 42.0 deg, 2.152 Å, I = 76.4, hkl 2 0 0
- 45.5 deg, 1.992 Å, I = 80.9, hkl 1 1 4
- 48.1 deg, 1.893 Å, I = 28.2, hkl 1 0 5
- 54.4 deg, 1.688 Å, I = 17.4, hkl 2 1 3
- 60.9 deg, 1.521 Å, I = 34.9, hkl 2 2 0
- 65.7 deg, 1.421 Å, I = 15.6, hkl 2 1 5
- 71.6 deg, 1.318 Å, I = 26.5, hkl 0 0 8
- 79.2 deg, 1.209 Å, I = 26.9, hkl 3 1 4